Entry 1:
Nd4Dy19Tm6: computed powder diffractogram (Cu Kα, 1.54184 Å), based on a cell relaxed with PBE.

Principal peaks in the range 2θ from 15° to 90°, in order of rising 2θ:
| index | 2theta | I/Imax |
| --- | --- | --- |
| 3 2 1 | 26.76 | 49 |
| 4 0 0 | 28.64 | 62 |
| 4 1 1 | 30.42 | 100 |
| 4 2 2 | 35.27 | 43 |
| 4 3 1 | 36.76 | 76 |
| 4 3 3 | 42.27 | 24 |
| 6 3 3 | 54.06 | 26 |
| 7 4 1 | 60.32 | 31 |

```
data_Nd4Dy19Tm6
_cell_length_a 12.4663
_cell_length_b 12.4663
_cell_length_c 12.4663
_cell_angle_alpha 90.00
_cell_angle_beta 90.00
_cell_angle_gamma 90.00
_space_group_name_H-M_alt 'I 2 3'
_space_group_IT_number 197
_space_group_name_Hall 'I 2 2 3'
loop_
_atom_site_label
_atom_site_type_symbol
_atom_site_fract_x
_atom_site_fract_y
_atom_site_fract_z
Nd1 Nd 0.1793 0.1793 0.1793
Dy1 Dy 0.0000 0.0000 0.0000
Dy2 Dy 0.0000 0.0000 0.2640
Dy3 Dy 0.0620 0.2766 0.7340
Tm1 Tm 0.0000 0.1260 0.5000
```


Entry 2:
Nd4Dy15Tm: computed powder diffractogram (Cu Kα, 1.54184 Å), based on a cell relaxed with PBE.

Principal peaks in the range 2θ from 15° to 90°, in order of rising 2θ:
| index | 2theta | I/Imax |
| --- | --- | --- |
| 1 1 5 | 30.70 | 100 |
| 2 0 0 | 35.56 | 34 |
| 0 0 10 | 35.67 | 17 |
| 2 2 0 | 51.23 | 36 |
| 3 1 5 | 60.87 | 29 |
| 1 1 15 | 61.02 | 14 |
| 2 2 10 | 63.94 | 12 |
| 3 1 15 | 83.60 | 12 |

```
data_Nd4Dy15Tm
_cell_length_a 5.0490
_cell_length_b 5.0490
_cell_length_c 25.1682
_cell_angle_alpha 90.00
_cell_angle_beta 90.00
_cell_angle_gamma 90.00
_space_group_name_H-M_alt 'P 4/m m m'
_space_group_IT_number 123
_space_group_name_Hall '-P 4 2'
loop_
_atom_site_label
_atom_site_type_symbol
_atom_site_fract_x
_atom_site_fract_y
_atom_site_fract_z
Nd1 Nd 0.0000 0.0000 0.1005
Nd2 Nd 0.0000 0.0000 0.3008
Dy1 Dy 0.0000 0.5000 0.0000
Dy2 Dy 0.0000 0.5000 0.2008
Dy3 Dy 0.0000 0.5000 0.4019
Dy4 Dy 0.5000 0.5000 0.1003
Dy5 Dy 0.5000 0.5000 0.3014
Dy6 Dy 0.5000 0.5000 0.5000
Tm1 Tm 0.0000 0.0000 0.5000
```